Record 1
Starting from the PBE geometry in Alexandria, the PXRD pattern of ThSn2Ge2Pt7 was calculated for Cu Kα, 1.54184 Å.
No peak broadening, texture or thermal motion is included.

The 6 most intense peaks (5° ≤ 2θ ≤ 70°), by intensity:
- 2θ = 5.58°, d 15.835, I 100
- 2θ = 36.08°, d 2.489, I 64
- 2θ = 45.44°, d 1.996, I 47
- 2θ = 42.92°, d 2.107, I 35
- 2θ = 33.71°, d 2.659, I 28
- 2θ = 39.20°, d 2.298, I 27

```
ThSn2Ge2Pt7
1.0
2.823 -2.822 0.000
2.823 2.822 0.000
-2.801 0.000 15.835
Th Sn Ge Pt
1 2 2 7
direct
0.000 0.000 0.000
0.213 0.213 0.427
0.787 0.787 0.573
0.379 0.379 0.757
0.621 0.621 0.243
0.072 0.572 0.145
0.301 0.301 0.602
0.428 0.928 0.855
0.500 0.500 0.000
0.572 0.072 0.145
0.699 0.699 0.398
0.928 0.428 0.855
```

***

Record 2
Starting from the PBE geometry in Alexandria, the PXRD pattern of Y12Ni6Hg was calculated for Cu Kα, 1.54184 Å.
No peak broadening, texture or thermal motion is included.

The 6 most intense peaks (5° ≤ 2θ ≤ 70°), by intensity:
- 2θ = 34.53°, d 2.598, I 100
- 2θ = 31.89°, d 2.806, I 37
- 2θ = 47.71°, d 1.906, I 28
- 2θ = 58.54°, d 1.577, I 28
- 2θ = 55.09°, d 1.667, I 21
- 2θ = 29.05°, d 3.074, I 21

```
Y12Ni6Hg
1.0
-4.860 4.860 4.860
4.860 -4.860 4.860
4.860 4.860 -4.860
Y Ni Hg
12 6 1
direct
0.115 0.301 0.813
0.187 0.488 0.301
0.187 0.885 0.699
0.301 0.187 0.488
0.301 0.813 0.115
0.488 0.301 0.187
0.512 0.699 0.813
0.699 0.187 0.885
0.699 0.813 0.512
0.813 0.115 0.301
0.813 0.512 0.699
0.885 0.699 0.187
0.123 0.500 0.623
0.377 0.877 0.500
0.500 0.377 0.877
0.500 0.623 0.123
0.623 0.123 0.500
0.877 0.500 0.377
0.000 0.000 0.000
```

***

Record 3
Starting from the PBE geometry in Alexandria, the PXRD pattern of Ce2Ge6Ru was calculated for Cu Kα, 1.54184 Å.
No peak broadening, texture or thermal motion is included.

The 6 most intense peaks (5° ≤ 2θ ≤ 70°), by intensity:
- 2θ = 37.94°, d 2.372, I 100
- 2θ = 37.49°, d 2.399, I 24
- 2θ = 48.26°, d 1.886, I 23
- 2θ = 60.73°, d 1.525, I 21
- 2θ = 33.77°, d 2.654, I 17
- 2θ = 33.27°, d 2.693, I 16

```
Ce2Ge6Ru
1.0
6.100 0.000 0.000
-3.050 5.283 0.000
0.000 0.000 5.385
Ce Ge Ru
2 6 1
direct
0.333 0.667 0.211
0.667 0.333 0.789
0.181 0.361 0.698
0.181 0.819 0.698
0.361 0.181 0.302
0.639 0.819 0.698
0.819 0.181 0.302
0.819 0.639 0.302
0.000 0.000 0.000
```

***

Record 4
Starting from the PBE geometry in Alexandria, the PXRD pattern of TlNiBr5 was calculated for Cu Kα, 1.54184 Å.
No peak broadening, texture or thermal motion is included.

The 6 most intense peaks (5° ≤ 2θ ≤ 70°), by intensity:
- 2θ = 16.51°, d 5.371, I 100
- 2θ = 20.27°, d 4.382, I 93
- 2θ = 21.98°, d 4.045, I 59
- 2θ = 22.75°, d 3.909, I 59
- 2θ = 23.30°, d 3.818, I 58
- 2θ = 46.45°, d 1.955, I 55

```
TlNiBr5
1.0
4.427 -7.819 0.000
4.427 7.819 0.000
-3.287 0.000 7.389
Tl Ni Br
2 2 10
direct
0.131 0.869 0.750
0.869 0.131 0.250
0.500 0.500 0.000
0.500 0.500 0.500
0.203 0.223 0.870
0.204 0.775 0.473
0.223 0.203 0.370
0.225 0.796 0.027
0.420 0.580 0.250
0.580 0.420 0.750
0.775 0.204 0.973
0.777 0.797 0.630
0.796 0.225 0.527
0.797 0.777 0.130
```

***

Record 5
Starting from the PBE geometry in Alexandria, the PXRD pattern of Cs3KH was calculated for Cu Kα, 1.54184 Å.
No peak broadening, texture or thermal motion is included.

The 6 most intense peaks (5° ≤ 2θ ≤ 70°), by intensity:
- 2θ = 22.36°, d 3.976, I 100
- 2θ = 21.71°, d 4.093, I 97
- 2θ = 24.94°, d 3.570, I 75
- 2θ = 36.78°, d 2.444, I 41
- 2θ = 42.77°, d 2.114, I 32
- 2θ = 26.59°, d 3.352, I 27

```
Cs3KH
1.0
10.337 0.000 0.000
0.000 4.938 0.000
0.000 0.000 13.407
Cs K H
6 2 2
direct
0.033 0.000 0.228
0.250 0.500 0.484
0.467 0.000 0.228
0.533 0.000 0.772
0.750 0.500 0.516
0.967 0.000 0.772
0.250 0.500 0.009
0.750 0.500 0.991
0.250 0.500 0.227
0.750 0.500 0.773
```

***

Record 6
Starting from the PBE geometry in Alexandria, the PXRD pattern of TbPmPSe was calculated for Cu Kα, 1.54184 Å.
No peak broadening, texture or thermal motion is included.

The 6 most intense peaks (5° ≤ 2θ ≤ 70°), by intensity:
- 2θ = 33.14°, d 2.703, I 100
- 2θ = 25.86°, d 3.445, I 54
- 2θ = 44.98°, d 2.016, I 53
- 2θ = 30.60°, d 2.922, I 48
- 2θ = 39.22°, d 2.297, I 32
- 2θ = 26.87°, d 3.318, I 21

```
TbPmPSe
1.0
4.031 0.000 0.000
-2.016 3.491 0.000
0.000 0.000 21.357
Tb Pm P Se
3 3 3 3
direct
0.000 0.000 0.000
0.333 0.667 0.667
0.667 0.333 0.333
0.000 0.000 0.815
0.333 0.667 0.482
0.667 0.333 0.149
0.000 0.000 0.407
0.333 0.667 0.073
0.667 0.333 0.740
0.000 0.000 0.242
0.333 0.667 0.909
0.667 0.333 0.575
```